Ba5Ga6O14: calculated powder diffractogram (a wavelength of 1.5418 Å), based on a DFT-relaxed cell (GGA-PBE, the Materials Project).
Peak positions follow from Bragg's law for the DFT cell and can differ from measured ones.

Structural model:
a = 8.5477 Å, b = 8.5477 Å, c = 11.5399 Å
α = 90.00°, β = 90.00°, γ = 88.31°
Atoms (fractional coordinates):
Ba 0.0124 0.9876 0.5000
Ba 0.1873 0.5250 0.4584
Ba 0.2163 0.4762 0.0254
Ba 0.4750 0.8127 0.4584
Ba 0.4762 0.2163 0.5254
Ba 0.5238 0.7837 0.0254
Ba 0.5250 0.1873 0.9584
Ba 0.7837 0.5238 0.5254
Ba 0.8127 0.4750 0.9584
Ba 0.9876 0.0124 0.0000
Ga 0.0116 0.7136 0.7617
Ga 0.1444 0.3415 0.7410
Ga 0.1994 0.8006 0.2171
Ga 0.2864 0.9884 0.7617
Ga 0.3415 0.1444 0.2410
Ga 0.4941 0.5059 0.7396
Ga 0.5059 0.4941 0.2396
Ga 0.6585 0.8556 0.7410
Ga 0.7136 0.0116 0.2617
Ga 0.8006 0.1994 0.7171
Ga 0.8556 0.6585 0.2410
Ga 0.9884 0.2864 0.2617
O 0.0050 0.2990 0.1041
O 0.0162 0.7275 0.1405
O 0.0594 0.5113 0.8278
O 0.1487 0.8513 0.8305
O 0.1867 0.2332 0.3388
O 0.1942 0.8058 0.3737
O 0.2332 0.1867 0.8388
O 0.2725 0.9838 0.1405
O 0.2990 0.0050 0.6041
O 0.3146 0.4317 0.6608
O 0.3548 0.6452 0.1798
O 0.4317 0.3146 0.1608
O 0.4887 0.9406 0.8278
O 0.4995 0.5005 0.8989
O 0.5005 0.4995 0.3989
O 0.5113 0.0594 0.3278
O 0.5683 0.6854 0.6608
O 0.6452 0.3548 0.6798
O 0.6854 0.5683 0.1608
O 0.7010 0.9950 0.1041
O 0.7275 0.0162 0.6405
O 0.7668 0.8133 0.3388
O 0.8058 0.1942 0.8737
O 0.8133 0.7668 0.8388
O 0.8513 0.1487 0.3305
O 0.9406 0.4887 0.3278
O 0.9838 0.2725 0.6405
O 0.9950 0.7010 0.6041

Peak list (8 most intense, 10 to 90 degrees two-theta, most intense first)
- 28.24 deg, intensity 100
- 27.77 deg, intensity 84
- 31.00 deg, intensity 38
- 32.84 deg, intensity 37
- 59.89 deg, intensity 25
- 51.91 deg, intensity 24
- 33.79 deg, intensity 24
- 27.61 deg, intensity 22